Structure and calculated powder diffractogram of PmPr10Er6 (the GGA-PBE geometry in Alexandria; Cu Kα).
No peak broadening, texture or thermal motion is included.

Main lines, in order of rising 2θ (5° ≤ 2θ ≤ 70°):
(2 0 1), d 3.648, 2θ = 24.40°, I = 8.7; (3 -1 1), d 2.937, 2θ = 30.44°, I = 36.1; (3 0 0), d 2.857, 2θ = 31.30°, I = 81.9; (1 1 2), d 2.844, 2θ = 31.45°, I = 100.0; (4 -1 1), d 2.250, 2θ = 40.08°, I = 8.8; (4 -2 2), d 2.016, 2θ = 44.97°, I = 27.2; (3 2 1), d 1.892, 2θ = 48.08°, I = 12.7; (4 1 2), d 1.648, 2θ = 55.78°, I = 27.4; (2 -1 4), d 1.640, 2θ = 56.09°, I = 19.2; (6 -1 1), d 1.503, 2θ = 61.71°, I = 10.8

Crystal structure
Cell: 9.8986 9.8986 6.9510 Å, 90.00 90.00 120.00°
Space group P-31m (No. 162)
Inequivalent atoms, fractional coordinates:
Pm 0.0000 0.0000 0.0000 (multiplicity 1)
Pr 0.0000 0.2776 0.3198 (multiplicity 6)
Pr 0.3333 0.6667 0.0000 (multiplicity 2)
Pr 0.3333 0.6667 0.5000 (multiplicity 2)
Er 0.0000 0.3673 0.8152 (multiplicity 6)